1.
Theoretical powder X-ray diffraction pattern of UNi4As2 for λ = 1.5418 Å (Cu Kα), from a structure optimized by DFT (GGA-PBE).
Neutral-atom scattering factors, no anomalous dispersion.

Largest 12 diffraction maxima, in order of rising 2θ, 15 to 90 degrees two-theta:
| d/Å | Rel. int. |
| --- | --- |
| 5.054 | 156 |
| 3.384 | 286 |
| 2.527 | 272 |
| 2.457 | 1000 |
| 2.260 | 408 |
| 2.111 | 198 |
| 2.025 | 137 |
| 1.948 | 286 |
| 1.921 | 238 |
| 1.580 | 143 |
| 1.464 | 206 |
| 1.340 | 224 |

Atomic structure:
```
14
Lattice="7.1479 0.0000 0.0000 0.0000 7.1479 0.0000 0.0000 0.0000 3.8415" Properties=species:S:1:pos:R:3 pbc="T T T"
U 0.0000 0.0000 0.0000
U 3.5739 3.5739 1.9208
Ni 0.6739 2.4872 1.9208
Ni 1.0867 4.2479 0.0000
Ni 2.4872 0.6739 1.9208
Ni 2.9000 6.0611 0.0000
Ni 4.2479 1.0867 0.0000
Ni 4.6607 6.4739 1.9208
Ni 6.0611 2.9000 0.0000
Ni 6.4739 4.6607 1.9208
As 1.5441 5.6038 1.9208
As 2.0299 2.0299 0.0000
As 5.1180 5.1180 0.0000
As 5.6038 1.5441 1.9208
```

2.
Theoretical powder X-ray diffraction pattern of NiAs2W for λ = 1.5418 Å (Cu Kα), from a structure optimized by DFT (GGA-PBE).
Neutral-atom scattering factors, no anomalous dispersion.

Largest 11 diffraction maxima, in order of rising 2θ, 15 to 90 degrees two-theta:
| d/Å | Rel. int. |
| --- | --- |
| 3.618 | 165 |
| 3.134 | 106 |
| 2.216 | 1000 |
| 1.890 | 86 |
| 1.809 | 31 |
| 1.567 | 166 |
| 1.438 | 36 |
| 1.401 | 43 |
| 1.279 | 335 |
| 1.206 | 28 |
| 1.108 | 110 |

Atomic structure:
```
16
Lattice="6.2671 0.0000 0.0000 0.0000 6.2671 0.0000 0.0000 0.0000 6.2671" Properties=species:S:1:pos:R:3 pbc="T T T"
Ni 0.0000 0.0000 0.0000
Ni 0.0000 3.1335 3.1335
Ni 3.1335 0.0000 3.1335
Ni 3.1335 3.1335 0.0000
As 0.0000 0.0000 3.1335
As 0.0000 3.1335 0.0000
As 1.5668 1.5668 4.7003
As 1.5668 4.7003 1.5668
As 3.1335 0.0000 0.0000
As 3.1335 3.1335 3.1335
As 4.7003 1.5668 1.5668
As 4.7003 4.7003 4.7003
W 1.5668 1.5668 1.5668
W 1.5668 4.7003 4.7003
W 4.7003 1.5668 4.7003
W 4.7003 4.7003 1.5668
```

3.
Theoretical powder X-ray diffraction pattern of Y5Zr3Ni16As12 for λ = 1.5418 Å (Cu Kα), from a structure optimized by DFT (GGA-PBE).
Neutral-atom scattering factors, no anomalous dispersion.

Largest 12 diffraction maxima, in order of rising 2θ, 15 to 90 degrees two-theta:
| d/Å | Rel. int. |
| --- | --- |
| 2.683 | 222 |
| 2.473 | 1000 |
| 2.413 | 877 |
| 2.209 | 125 |
| 2.053 | 224 |
| 1.984 | 203 |
| 1.960 | 455 |
| 1.924 | 293 |
| 1.841 | 347 |
| 1.648 | 186 |
| 1.394 | 122 |
| 1.342 | 223 |

Atomic structure:
```
36
Lattice="12.7549 0.0000 0.0000 -6.3774 11.0460 0.0000 0.0000 0.0000 3.9190" Properties=species:S:1:pos:R:3 pbc="T T T"
Y -1.1777 2.0398 0.0000
Y 2.3554 0.0000 0.0000
Y 0.0000 7.3640 1.9595
Y 6.3774 3.6820 1.9595
Y 5.1997 9.0062 0.0000
Zr -3.5999 6.2353 1.9595
Zr 2.7775 4.8107 1.9595
Zr 7.1999 0.0000 1.9595
Ni 0.0000 0.0000 1.9595
Ni -4.6187 7.9998 0.0000
Ni -1.5419 5.3384 0.0000
Ni -2.8015 8.9200 1.9595
Ni 0.0533 4.1599 1.9595
Ni 1.7587 3.0462 0.0000
Ni -0.9833 9.7122 0.0000
Ni 3.5759 2.1261 1.9595
Ni 5.3941 1.3339 0.0000
Ni 2.5252 7.0416 0.0000
Ni 2.7482 9.0122 1.9595
Ni 4.8356 5.7077 0.0000
Ni 9.2374 0.0000 0.0000
Ni 9.1257 2.0338 1.9595
Ni 6.4307 6.8861 1.9595
Ni 8.9027 4.0045 0.0000
As -2.2754 3.9411 1.9595
As -5.2409 9.0776 1.9595
As -2.2223 7.6643 0.0000
As 1.1365 1.9685 1.9595
As 0.8511 5.2893 0.0000
As 4.5508 0.0000 1.9595
As 4.1551 3.3817 0.0000
As 1.3712 9.1384 0.0000
As 4.1020 7.1049 1.9595
As 7.7487 1.9076 0.0000
As 10.4819 0.0000 1.9595
As 7.2285 5.7567 0.0000
```

4.
Theoretical powder X-ray diffraction pattern of Zr3Ni4As4 for λ = 1.5418 Å (Cu Kα), from a structure optimized by DFT (GGA-PBE).
Neutral-atom scattering factors, no anomalous dispersion.

Largest 12 diffraction maxima, in order of rising 2θ, 15 to 90 degrees two-theta:
| d/Å | Rel. int. |
| --- | --- |
| 4.838 | 151 |
| 3.174 | 159 |
| 2.470 | 270 |
| 2.445 | 630 |
| 2.340 | 1000 |
| 2.276 | 227 |
| 2.065 | 213 |
| 2.053 | 489 |
| 1.957 | 309 |
| 1.916 | 446 |
| 1.858 | 158 |
| 1.818 | 177 |

Atomic structure:
```
11
Lattice="6.4620 0.0000 0.0000 0.0000 3.8319 0.0000 -0.0263 0.0000 7.2962" Properties=species:S:1:pos:R:3 pbc="T T T"
Zr 0.0000 0.0000 0.0000
Zr 0.3204 1.9160 4.5610
Zr 3.2873 0.0000 1.0023
Ni 1.0770 1.9160 1.8667
Ni 2.4768 0.0000 5.5244
Ni 4.3570 1.9160 6.3618
Ni 5.8842 0.0000 2.7380
As 1.8831 0.0000 3.2182
As 1.9063 1.9160 6.8404
As 4.8434 0.0000 4.9827
As 5.1041 1.9160 1.5525
```

5.
Theoretical powder X-ray diffraction pattern of Zr3Ni4As4 for λ = 1.5418 Å (Cu Kα), from a structure optimized by DFT (GGA-PBE).
Neutral-atom scattering factors, no anomalous dispersion.

Largest 12 diffraction maxima, in order of rising 2θ, 15 to 90 degrees two-theta:
| d/Å | Rel. int. |
| --- | --- |
| 5.201 | 119 |
| 3.353 | 392 |
| 2.914 | 208 |
| 2.884 | 100 |
| 2.060 | 510 |
| 2.050 | 1000 |
| 1.755 | 114 |
| 1.676 | 80 |
| 1.457 | 160 |
| 1.442 | 76 |
| 1.187 | 318 |
| 1.181 | 154 |

Atomic structure:
```
11
Lattice="-2.9136 2.9136 5.7686 2.9136 -2.9136 5.7686 2.9136 2.9136 -5.7686" Properties=species:S:1:pos:R:3 pbc="T T T"
Zr 0.0000 0.0000 0.0000
Zr 2.9136 0.0000 2.8843
Zr 0.0000 2.9136 2.8843
Ni 1.4409 -1.4409 4.3419
Ni 1.4727 1.4727 1.4267
Ni -1.4409 1.4409 4.3419
Ni 1.4409 1.4409 7.1953
As 2.9136 0.0000 0.0000
As 0.0000 0.0000 2.9564
As 0.0000 2.9136 0.0000
As 0.0000 0.0000 8.5809
```

6.
Theoretical powder X-ray diffraction pattern of Rb2NpAs2 for λ = 1.5418 Å (Cu Kα), from a structure optimized by DFT (GGA-PBE).
Neutral-atom scattering factors, no anomalous dispersion.

Largest 12 diffraction maxima, in order of rising 2θ, 15 to 90 degrees two-theta:
| d/Å | Rel. int. |
| --- | --- |
| 4.662 | 497 |
| 3.625 | 514 |
| 3.597 | 1000 |
| 3.261 | 922 |
| 2.895 | 553 |
| 2.839 | 690 |
| 2.608 | 552 |
| 2.418 | 702 |
| 2.404 | 532 |
| 2.166 | 449 |
| 2.015 | 559 |
| 1.828 | 757 |

Atomic structure:
```
10
Lattice="3.6254 -9.1289 0.0000 3.6254 9.1289 0.0000 0.0000 0.0000 5.6566" Properties=species:S:1:pos:R:3 pbc="T T T"
Rb 3.6254 7.4602 4.2424
Rb 3.6254 4.0645 1.4141
Rb 3.6254 -4.0645 4.2424
Rb 3.6254 -7.4602 1.4141
Np 3.6254 0.0000 0.0000
Np 3.6254 0.0000 2.8283
As 2.3113 2.1974 4.2424
As 2.3113 -2.1974 1.4141
As 4.9395 2.1974 4.2424
As 4.9395 -2.1974 1.4141
```